(1)
Ba2Au: calculated powder diffraction line list (Cu Ka), based on a DFT-relaxed cell (PBE, Alexandria).
Neutral-atom scattering factors, no anomalous dispersion.

Crystal structure
```
Ba2Au
1.0
0.0000 7.9280 7.9280
7.9280 0.0000 7.9280
7.9280 7.9280 0.0000
Ba Au
16 8
Direct
0.0000 0.0000 0.0000 Ba
0.0000 0.0000 0.5000 Ba
0.0000 0.5000 0.0000 Ba
0.1874 0.1874 0.5626 Ba
0.1874 0.5626 0.1874 Ba
0.1874 0.5626 0.5626 Ba
0.4374 0.4374 0.8126 Ba
0.4374 0.8126 0.4374 Ba
0.4374 0.8126 0.8126 Ba
0.5000 0.0000 0.0000 Ba
0.5626 0.1874 0.1874 Ba
0.5626 0.1874 0.5626 Ba
0.5626 0.5626 0.1874 Ba
0.8126 0.4374 0.4374 Ba
0.8126 0.4374 0.8126 Ba
0.8126 0.8126 0.4374 Ba
0.1833 0.7722 0.7722 Au
0.2278 0.2278 0.2278 Au
0.2278 0.2278 0.8167 Au
0.2278 0.8167 0.2278 Au
0.7722 0.1833 0.7722 Au
0.7722 0.7722 0.1833 Au
0.7722 0.7722 0.7722 Au
0.8167 0.2278 0.2278 Au
```

Peak list (10 most intense, 10 to 90 degrees two-theta, by angle)
- 19.39°, I 19.9
- 27.56°, I 25.1
- 29.27°, I 100.0
- 31.93°, I 57.4
- 43.86°, I 21.6
- 48.73°, I 27.5
- 49.80°, I 15.1
- 57.86°, I 13.4
- 60.39°, I 23.1
- 73.66°, I 14.3


(2)
BaAu3: calculated powder diffraction line list (Cu Ka), based on a DFT-relaxed cell (PBE, Alexandria).
Neutral-atom scattering factors, no anomalous dispersion.

Crystal structure
```
BaAu3
1.0
7.4298 0.0000 0.0000
-3.7149 6.4344 0.0000
0.0000 0.0000 8.8379
Ba Au
4 12
Direct
0.0000 0.0000 0.0000 Ba
0.0000 0.0000 0.5000 Ba
0.3333 0.6667 0.2500 Ba
0.6667 0.3333 0.7500 Ba
0.0000 0.5000 0.0000 Au
0.0000 0.5000 0.5000 Au
0.2040 0.4080 0.7500 Au
0.2040 0.7960 0.7500 Au
0.4080 0.2040 0.2500 Au
0.5000 0.0000 0.0000 Au
0.5000 0.0000 0.5000 Au
0.5000 0.5000 0.0000 Au
0.5000 0.5000 0.5000 Au
0.5920 0.7960 0.7500 Au
0.7960 0.2040 0.2500 Au
0.7960 0.5920 0.2500 Au
```

Peak list (10 most intense, 10 to 90 degrees two-theta, by angle)
- 13.76°, I 13.3
- 27.73°, I 13.4
- 29.55°, I 35.9
- 34.48°, I 100.0
- 40.84°, I 20.4
- 41.57°, I 14.4
- 49.04°, I 21.5
- 65.67°, I 18.1
- 70.29°, I 13.8
- 82.23°, I 12.9


(3)
BaBe2Au: calculated powder diffraction line list (Cu Ka), based on a DFT-relaxed cell (PBE, Alexandria).
Neutral-atom scattering factors, no anomalous dispersion.

Crystal structure
```
BaBe2Au
1.0
7.1270 0.0000 0.0000
0.0000 4.1094 0.0000
-2.3441 0.0000 5.8198
Ba Be Au
2 4 2
Direct
0.0000 0.0000 0.0000 Ba
0.5000 0.5000 0.0000 Ba
0.1807 0.0000 0.5414 Be
0.3193 0.5000 0.4586 Be
0.6807 0.5000 0.5414 Be
0.8193 0.0000 0.4586 Be
0.0000 0.5000 0.5000 Au
0.5000 0.0000 0.5000 Au
```

Peak list (10 most intense, 10 to 90 degrees two-theta, by angle)
- 26.97°, I 50.4
- 27.08°, I 100.0
- 30.73°, I 40.9
- 32.41°, I 65.8
- 32.52°, I 32.6
- 44.04°, I 46.1
- 49.02°, I 19.7
- 52.45°, I 24.7
- 54.52°, I 16.3
- 54.73°, I 32.2


(4)
BaBiAu5: calculated powder diffraction line list (Cu Ka), based on a DFT-relaxed cell (PBE, Alexandria).
Neutral-atom scattering factors, no anomalous dispersion.

Crystal structure
```
BaBiAu5
1.0
9.7764 0.0000 0.0000
0.0000 5.8366 0.0000
0.0000 0.0000 11.6404
Ba Bi Au
4 4 20
Direct
0.2484 0.2500 0.0607 Ba
0.2516 0.7500 0.5607 Ba
0.7484 0.2500 0.4393 Ba
0.7516 0.7500 0.9393 Ba
0.1372 0.7500 0.8615 Bi
0.3628 0.2500 0.3615 Bi
0.6372 0.7500 0.6385 Bi
0.8628 0.2500 0.1385 Bi
0.0637 0.7500 0.0962 Au
0.0743 0.0033 0.3081 Au
0.0743 0.4967 0.3081 Au
0.0806 0.2500 0.5180 Au
0.1787 0.2500 0.7506 Au
0.3213 0.7500 0.2506 Au
0.4194 0.7500 0.0180 Au
0.4257 0.5033 0.8081 Au
0.4257 0.9967 0.8081 Au
0.4363 0.2500 0.5962 Au
0.5637 0.7500 0.4038 Au
0.5743 0.0033 0.1919 Au
0.5743 0.4967 0.1919 Au
0.5806 0.2500 0.9820 Au
0.6787 0.2500 0.7494 Au
0.8213 0.7500 0.2494 Au
0.9194 0.7500 0.4820 Au
0.9257 0.5033 0.6919 Au
0.9257 0.9967 0.6919 Au
0.9363 0.2500 0.9038 Au
```

Peak list (10 most intense, 10 to 90 degrees two-theta, by angle)
- 30.64°, I 22.1
- 32.09°, I 27.8
- 32.39°, I 77.0
- 33.24°, I 45.1
- 36.69°, I 60.4
- 37.60°, I 41.2
- 39.18°, I 78.1
- 39.76°, I 100.0
- 59.04°, I 21.1
- 67.81°, I 20.9


(5)
BaBiAu2: calculated powder diffraction line list (Cu Ka), based on a DFT-relaxed cell (PBE, Alexandria).
Neutral-atom scattering factors, no anomalous dispersion.

Crystal structure
```
BaBiAu2
1.0
5.0471 0.0000 0.0000
-2.5235 4.3709 0.0000
0.0000 0.0000 16.3325
Ba Bi Au
3 3 6
Direct
0.0000 0.0000 0.0000 Ba
0.3333 0.6667 0.6667 Ba
0.6667 0.3333 0.3333 Ba
0.0000 0.0000 0.5000 Bi
0.3333 0.6667 0.1667 Bi
0.6667 0.3333 0.8333 Bi
0.0000 0.0000 0.2154 Au
0.0000 0.0000 0.7846 Au
0.3333 0.6667 0.4513 Au
0.3333 0.6667 0.8820 Au
0.6667 0.3333 0.1180 Au
0.6667 0.3333 0.5487 Au
```

Peak list (10 most intense, 10 to 90 degrees two-theta, by angle)
- 16.28°, I 38.4
- 29.95°, I 100.0
- 34.27°, I 15.2
- 35.58°, I 97.8
- 39.35°, I 27.8
- 43.99°, I 22.7
- 47.17°, I 29.1
- 60.47°, I 40.6
- 63.89°, I 18.2
- 83.14°, I 22.6


(6)
Ba7Bi2Au2: calculated powder diffraction line list (Cu Ka), based on a DFT-relaxed cell (PBE, Alexandria).
Neutral-atom scattering factors, no anomalous dispersion.

Crystal structure
```
Ba7Bi2Au2
1.0
5.2490 -6.0751 0.0000
5.2490 6.0751 0.0000
0.0000 0.0000 8.4302
Ba Bi Au
7 2 2
Direct
0.0000 0.0000 0.0000 Ba
0.0000 0.5000 0.2555 Ba
0.0000 0.5000 0.7445 Ba
0.5000 0.0000 0.2555 Ba
0.5000 0.0000 0.7445 Ba
0.5000 0.5000 0.2349 Ba
0.5000 0.5000 0.7651 Ba
0.2342 0.2342 0.5000 Bi
0.7658 0.7658 0.5000 Bi
0.2745 0.7255 0.0000 Au
0.7255 0.2745 0.0000 Au
```

Peak list (10 most intense, 10 to 90 degrees two-theta, by angle)
- 18.00°, I 32.9
- 19.93°, I 66.9
- 29.40°, I 38.1
- 30.94°, I 100.0
- 31.81°, I 16.8
- 34.16°, I 29.5
- 35.78°, I 27.4
- 45.68°, I 21.9
- 53.12°, I 18.0
- 59.16°, I 15.7